No. 1
# Ce2PmGa2Cu2
Computed XRD peak list, copper Kα. Input: a DFT-relaxed cell (GGA-PBE, Alexandria).
Intensities are scaled so that the largest is 100.

Principal peaks in the range 2θ from 10° to 80°, sorted by position:
2theta  Rel. int.
24.0  26.9
33.3  100.0
35.8  52.2
41.9  80.6
54.6  24.2
56.3  14.1
67.7  25.9
71.1  21.6
72.5  13.1
76.5  13.1

Structural model:
```
Ce2PmGa2Cu2
1.0
2.157 1.245 9.023
-2.157 1.245 9.023
0.000 -2.491 9.023
Ce Pm Ga Cu
2 1 2 2
direct
0.140 0.140 0.140 Ce
0.860 0.860 0.860 Ce
0.000 0.000 0.000 Pm
0.261 0.261 0.261 Ga
0.739 0.739 0.739 Ga
0.408 0.408 0.408 Cu
0.592 0.592 0.592 Cu
```

=====

No. 2
# Ba3Nb6Si4O26
Computed XRD peak list, copper Kα. Input: a DFT-relaxed cell (GGA-PBE, Alexandria).
Intensities are scaled so that the largest is 100.

Principal peaks in the range 2θ from 10° to 80°, sorted by position:
2theta  Rel. int.
11.3  47.7
22.4  72.9
25.1  24.2
25.3  22.7
29.7  100.0
30.0  91.1
32.0  40.6
46.3  22.5
55.6  22.7
56.0  33.1

Structural model:
```
Ba3Nb6Si4O26
1.0
9.180 0.000 0.000
-4.590 7.950 0.000
0.000 0.000 7.849
Ba Nb Si O
3 6 4 26
direct
0.000 0.600 0.000 Ba
0.400 0.400 0.000 Ba
0.600 0.000 0.000 Ba
0.000 0.239 0.256 Nb
0.000 0.239 0.744 Nb
0.239 0.000 0.256 Nb
0.239 0.000 0.744 Nb
0.761 0.761 0.256 Nb
0.761 0.761 0.744 Nb
0.333 0.667 0.294 Si
0.333 0.667 0.706 Si
0.667 0.333 0.294 Si
0.667 0.333 0.706 Si
0.000 0.231 0.000 O
0.000 0.279 0.500 O
0.000 0.824 0.265 O
0.000 0.824 0.735 O
0.176 0.176 0.265 O
0.176 0.176 0.735 O
0.184 0.489 0.216 O
0.184 0.489 0.784 O
0.231 0.000 0.000 O
0.279 0.000 0.500 O
0.305 0.816 0.216 O
0.305 0.816 0.784 O
0.333 0.667 0.500 O
0.489 0.184 0.216 O
0.489 0.184 0.784 O
0.511 0.695 0.216 O
0.511 0.695 0.784 O
0.667 0.333 0.500 O
0.695 0.511 0.216 O
0.695 0.511 0.784 O
0.721 0.721 0.500 O
0.769 0.769 0.000 O
0.816 0.305 0.216 O
0.816 0.305 0.784 O
0.824 0.000 0.265 O
0.824 0.000 0.735 O
```

=====

No. 3
# HgPSe3
Computed XRD peak list, copper Kα. Input: a DFT-relaxed cell (GGA-PBE, Alexandria).
Intensities are scaled so that the largest is 100.

Principal peaks in the range 2θ from 10° to 80°, sorted by position:
2theta  Rel. int.
11.4  93.2
21.6  36.6
29.1  100.0
30.9  30.6
34.6  24.5
35.4  55.5
44.2  42.3
47.1  36.5
48.6  15.9
49.8  16.0

Structural model:
```
HgPSe3
1.0
6.683 0.000 0.000
3.341 5.788 0.000
0.002 3.846 7.794
Hg P Se
2 2 6
direct
0.151 0.198 0.453 Hg
0.849 0.802 0.547 Hg
0.409 0.682 0.226 P
0.591 0.318 0.774 P
0.081 0.693 0.268 Se
0.274 0.687 0.732 Se
0.462 0.957 0.268 Se
0.538 0.043 0.732 Se
0.726 0.313 0.268 Se
0.919 0.307 0.732 Se
```

=====

No. 4
# HgAs
Computed XRD peak list, copper Kα. Input: a DFT-relaxed cell (GGA-PBE, Alexandria).
Intensities are scaled so that the largest is 100.

Principal peaks in the range 2θ from 10° to 80°, sorted by position:
2theta  Rel. int.
25.8  66.0
26.1  40.4
27.8  100.0
30.7  32.5
34.1  20.2
37.0  57.8
37.1  31.9
39.4  18.5
47.5  22.6
50.7  32.4

Structural model:
```
HgAs
1.0
6.823 0.000 0.000
0.000 7.611 0.000
0.000 0.000 8.262
Hg As
8 8
direct
0.043 0.149 0.179 Hg
0.043 0.351 0.679 Hg
0.457 0.649 0.179 Hg
0.457 0.851 0.679 Hg
0.543 0.149 0.321 Hg
0.543 0.351 0.821 Hg
0.957 0.649 0.321 Hg
0.957 0.851 0.821 Hg
0.135 0.565 0.919 As
0.135 0.935 0.419 As
0.365 0.065 0.919 As
0.365 0.435 0.419 As
0.635 0.565 0.581 As
0.635 0.935 0.081 As
0.865 0.065 0.581 As
0.865 0.435 0.081 As
```

=====

No. 5
# ZrU2S3
Computed XRD peak list, copper Kα. Input: a DFT-relaxed cell (GGA-PBE, Alexandria).
Intensities are scaled so that the largest is 100.

Principal peaks in the range 2θ from 10° to 80°, sorted by position:
2theta  Rel. int.
14.8  12.5
28.6  46.4
28.9  45.5
33.3  100.0
47.8  48.1
48.2  12.4
56.6  22.7
57.0  14.9
59.2  13.1
79.6  22.5

Structural model:
```
ZrU2S3
1.0
0.000 5.388 11.487
3.780 0.000 11.487
3.780 5.388 0.000
Zr U S
4 8 12
direct
0.041 0.041 0.209 Zr
0.209 0.209 0.041 Zr
0.791 0.791 0.959 Zr
0.959 0.959 0.791 Zr
0.125 0.125 0.625 U
0.292 0.292 0.458 U
0.375 0.375 0.875 U
0.458 0.458 0.292 U
0.542 0.542 0.708 U
0.625 0.625 0.125 U
0.708 0.708 0.542 U
0.875 0.875 0.375 U
0.040 0.540 0.202 S
0.115 0.635 0.635 S
0.202 0.718 0.040 S
0.282 0.798 0.460 S
0.365 0.885 0.885 S
0.460 0.960 0.282 S
0.540 0.040 0.718 S
0.635 0.115 0.115 S
0.718 0.202 0.540 S
0.798 0.282 0.960 S
0.885 0.365 0.365 S
0.960 0.460 0.798 S
```

=====

No. 6
# Sr3Li2Ca3
Computed XRD peak list, copper Kα. Input: a DFT-relaxed cell (GGA-PBE, Alexandria).
Intensities are scaled so that the largest is 100.

Principal peaks in the range 2θ from 10° to 80°, sorted by position:
2theta  Rel. int.
15.8  14.1
20.5  14.7
23.3  44.3
28.0  18.4
28.5  100.0
30.4  50.8
41.8  12.4
41.8  12.0
52.8  34.3
52.8  16.7

Structural model:
```
Sr3Li2Ca3
1.0
5.880 0.000 0.000
0.013 5.892 0.000
2.938 2.934 9.543
Sr Li Ca
3 2 3
direct
0.000 0.000 0.000 Sr
0.147 0.647 0.707 Sr
0.853 0.353 0.293 Sr
0.250 0.250 0.501 Li
0.750 0.750 0.499 Li
0.355 0.855 0.290 Ca
0.500 0.500 0.000 Ca
0.645 0.145 0.710 Ca
```

=====

No. 7
# Li2VPd4
Computed XRD peak list, copper Kα. Input: a DFT-relaxed cell (GGA-PBE, Alexandria).
Intensities are scaled so that the largest is 100.

Principal peaks in the range 2θ from 10° to 80°, sorted by position:
2theta  Rel. int.
17.3  40.8
17.7  25.8
28.4  47.2
29.3  26.2
37.5  23.1
40.1  67.3
41.8  45.9
42.6  100.0
43.6  79.1
45.4  34.0

Structural model:
```
Li2VPd4
1.0
5.381 0.000 0.000
1.750 6.223 0.000
2.306 2.080 6.070
Li V Pd
4 2 8
direct
0.000 0.000 0.000 Li
0.042 0.236 0.268 Li
0.339 0.336 0.858 Li
0.845 0.433 0.740 Li
0.192 0.799 0.567 V
0.676 0.877 0.442 V
0.115 0.612 0.323 Pd
0.255 0.170 0.581 Pd
0.428 0.718 0.865 Pd
0.459 0.924 0.143 Pd
0.590 0.290 0.161 Pd
0.606 0.499 0.440 Pd
0.748 0.057 0.688 Pd
0.912 0.634 0.973 Pd
```